The following is a computed X-ray diffraction stick pattern of Li4MnV3P8O28. It was derived from a DFT-relaxed cell (PBE+U, the Materials Project), using a wavelength of 1.5418 Å.

Cell: 4.877 8.292 13.368 Å, 90.49 91.41 90.35°
Space group P1 (No. 1)
One atom of each set of equivalent atoms:
1 Li 0.000 0.000 0.000
2 Li 0.176 0.499 0.826
3 Li 0.499 0.999 0.500
4 Li 0.678 0.498 0.325
5 Mn 0.989 0.361 0.028
6 V 0.190 0.862 0.799
7 V 0.488 0.360 0.527
8 V 0.690 0.860 0.299
9 P 0.010 0.577 0.619
10 P 0.171 0.073 0.206
11 P 0.200 0.679 0.424
12 P 0.480 0.183 0.902
13 P 0.509 0.576 0.118
14 P 0.670 0.076 0.706
15 P 0.700 0.680 0.922
16 P 0.978 0.180 0.401
17 O 0.030 0.665 0.720
18 O 0.059 0.206 0.286
19 O 0.122 0.707 0.539
20 O 0.156 0.156 0.106
21 O 0.195 0.427 0.620
22 O 0.209 0.536 0.090
23 O 0.244 0.183 0.465
24 O 0.287 0.325 0.922
25 O 0.336 0.019 0.910
26 O 0.343 0.516 0.415
27 O 0.394 0.821 0.404
28 O 0.430 0.686 0.860
29 O 0.464 0.034 0.240
30 O 0.482 0.927 0.705
31 O 0.527 0.665 0.219
32 O 0.561 0.208 0.787
33 O 0.621 0.705 0.038
34 O 0.649 0.163 0.606
35 O 0.693 0.426 0.121
36 O 0.716 0.536 0.588
37 O 0.746 0.185 0.967
38 O 0.785 0.321 0.421
39 O 0.834 0.017 0.409
40 O 0.840 0.519 0.910
41 O 0.893 0.824 0.904
42 O 0.933 0.682 0.360
43 O 0.963 0.036 0.737
44 O 0.983 0.923 0.206

Largest 10 diffraction maxima, by angle, 2θ = 5–70°:
- 5.225 Å, 16.97 deg, intensity 100, hkl 0 1 -2
- 5.181 Å, 17.12 deg, intensity 97, hkl 0 1 2
- 4.034 Å, 22.04 deg, intensity 41, hkl 1 1 -1
- 4.000 Å, 22.23 deg, intensity 45, hkl 1 -1 1
- 3.970 Å, 22.39 deg, intensity 47, hkl 1 1 1
- 3.330 Å, 26.77 deg, intensity 46, hkl 1 0 -3
- 3.090 Å, 28.90 deg, intensity 60, hkl -1 1 3
- 3.077 Å, 29.02 deg, intensity 67, hkl 1 -2 1
- 3.049 Å, 29.29 deg, intensity 56, hkl 1 2 1
- 3.036 Å, 29.42 deg, intensity 28, hkl 1 -1 3

***

The following is a computed X-ray diffraction stick pattern of CaCr2P2O8. It was derived from a DFT-relaxed cell (PBE+U, the Materials Project), using a wavelength of 1.5418 Å.

Cell: 17.646 5.093 17.049 Å, 90.00 118.99 90.00°
Space group C2/c (No. 15)
One atom of each set of equivalent atoms:
1 Ca 0.151 0.181 0.138
2 Cr 0.000 0.192 0.250
3 Cr 0.098 0.243 0.463
4 Cr 0.250 0.250 0.000
5 P 0.016 0.285 0.608
6 P 0.217 0.231 0.367
7 O 0.021 0.414 0.132
8 O 0.045 0.103 0.689
9 O 0.077 0.229 0.968
10 O 0.084 0.242 0.574
11 O 0.124 0.249 0.357
12 O 0.220 0.328 0.285
13 O 0.223 0.084 0.552
14 O 0.249 0.447 0.105

Largest 10 diffraction maxima, by angle, 2θ = 5–70°:
- 7.457 Å, 11.87 deg, intensity 57, hkl 0 0 2
- 4.822 Å, 18.40 deg, intensity 48, hkl 1 1 -1
- 3.271 Å, 27.26 deg, intensity 64, hkl 3 1 1
- 2.904 Å, 30.79 deg, intensity 24, hkl 6 0 -2
- 2.877 Å, 31.08 deg, intensity 63, hkl 5 1 -3
- 2.822 Å, 31.71 deg, intensity 31, hkl 3 1 -5
- 2.794 Å, 32.03 deg, intensity 38, hkl 2 0 -6
- 2.545 Å, 35.27 deg, intensity 100, hkl 0 2 0
- 2.135 Å, 42.34 deg, intensity 25, hkl 6 0 2
- 1.882 Å, 48.36 deg, intensity 24, hkl 2 2 -6

***

The following is a computed X-ray diffraction stick pattern of LiMnNbO4. It was derived from a DFT-relaxed cell (PBE+U, the Materials Project), using a wavelength of 1.5418 Å.

Cell: 6.181 6.227 9.084 Å, 90.00 90.00 90.00°
Space group Imma (No. 74)
One atom of each set of equivalent atoms:
1 Li 0.000 0.250 0.147
2 Mn 0.250 0.250 0.750
3 Nb 0.000 0.000 0.500
4 O 0.000 0.014 0.718
5 O 0.219 0.250 0.497

Largest 10 diffraction maxima, by angle, 2θ = 5–70°:
- 5.116 Å, 17.33 deg, intensity 100, hkl 1 0 1
- 2.721 Å, 32.92 deg, intensity 16, hkl 1 0 3
- 2.659 Å, 33.71 deg, intensity 25, hkl 1 2 1
- 2.648 Å, 33.85 deg, intensity 8, hkl 2 1 1
- 2.568 Å, 34.94 deg, intensity 9, hkl 0 2 2
- 2.555 Å, 35.12 deg, intensity 9, hkl 2 0 2
- 2.271 Å, 39.69 deg, intensity 17, hkl 0 0 4
- 2.194 Å, 41.15 deg, intensity 32, hkl 2 2 0
- 1.688 Å, 54.34 deg, intensity 9, hkl 3 2 1
- 1.578 Å, 58.50 deg, intensity 20, hkl 2 2 4

***

Copy entry 2 word for word.
The following is a computed X-ray diffraction stick pattern of CaCr2P2O8. It was derived from a DFT-relaxed cell (PBE+U, the Materials Project), using a wavelength of 1.5418 Å.

Cell: 17.646 5.093 17.049 Å, 90.00 118.99 90.00°
Space group C2/c (No. 15)
One atom of each set of equivalent atoms:
1 Ca 0.151 0.181 0.138
2 Cr 0.000 0.192 0.250
3 Cr 0.098 0.243 0.463
4 Cr 0.250 0.250 0.000
5 P 0.016 0.285 0.608
6 P 0.217 0.231 0.367
7 O 0.021 0.414 0.132
8 O 0.045 0.103 0.689
9 O 0.077 0.229 0.968
10 O 0.084 0.242 0.574
11 O 0.124 0.249 0.357
12 O 0.220 0.328 0.285
13 O 0.223 0.084 0.552
14 O 0.249 0.447 0.105

Largest 10 diffraction maxima, by angle, 2θ = 5–70°:
- 7.457 Å, 11.87 deg, intensity 57, hkl 0 0 2
- 4.822 Å, 18.40 deg, intensity 48, hkl 1 1 -1
- 3.271 Å, 27.26 deg, intensity 64, hkl 3 1 1
- 2.904 Å, 30.79 deg, intensity 24, hkl 6 0 -2
- 2.877 Å, 31.08 deg, intensity 63, hkl 5 1 -3
- 2.822 Å, 31.71 deg, intensity 31, hkl 3 1 -5
- 2.794 Å, 32.03 deg, intensity 38, hkl 2 0 -6
- 2.545 Å, 35.27 deg, intensity 100, hkl 0 2 0
- 2.135 Å, 42.34 deg, intensity 25, hkl 6 0 2
- 1.882 Å, 48.36 deg, intensity 24, hkl 2 2 -6